Starting from a structure optimized by DFT (GGA-PBE), the X-ray powder pattern of Na2RuO3 was calculated for a wavelength of 1.5418 Å.

Largest 8 diffraction maxima, by angle, 10 to 90 degrees two-theta:
16.54°, intensity 100; 19.48°, intensity 30; 33.10°, intensity 33; 34.52°, intensity 59; 39.68°, intensity 46; 39.80°, intensity 91; 56.71°, intensity 27; 58.19°, intensity 39

Cell and atoms:
a b c (Å): 5.4917 9.5123 5.6697
angles (deg): 90.00 109.08 90.00
Space group C2/m (No. 12)
Unique sites:
Na 0.0000 0.0000 0.0000
Na 0.0000 0.1604 0.5000
Na 0.0000 0.5000 0.5000
Ru 0.0000 0.3332 0.0000
O 0.2010 0.5000 0.2069
O 0.2463 0.3152 0.7964



Starting from a structure optimized by DFT (GGA-PBE), the X-ray powder pattern of Ho6FeSb2 was calculated for a wavelength of 1.5418 Å.

Largest 8 diffraction maxima, by angle, 10 to 90 degrees two-theta:
30.76°, intensity 100; 33.32°, intensity 58; 33.45°, intensity 65; 38.09°, intensity 24; 40.12°, intensity 28; 43.86°, intensity 21; 56.26°, intensity 30; 61.27°, intensity 23

Cell and atoms:
a b c (Å): 8.1843 8.1843 4.1288
angles (deg): 90.00 90.00 120.00
Space group P-62m (No. 189)
Unique sites:
Ho 0.0000 0.2342 0.0000
Ho 0.0000 0.6025 0.5000
Fe 0.0000 0.0000 0.5000
Sb 0.3333 0.6667 0.0000



Starting from a structure optimized by DFT (GGA-PBE), the X-ray powder pattern of Mn9Fe2N8 was calculated for a wavelength of 1.5418 Å.

Largest 8 diffraction maxima, by angle, 10 to 90 degrees two-theta:
38.61°, intensity 100; 43.91°, intensity 29; 44.38°, intensity 35; 46.33°, intensity 28; 64.21°, intensity 16; 65.83°, intensity 7; 66.10°, intensity 17; 77.84°, intensity 12

Cell and atoms:
a b c (Å): 14.3452 4.0820 6.4944
angles (deg): 90.00 107.39 90.00
Space group C2/m (No. 12)
Unique sites:
Mn 0.0000 0.0000 0.0000
Mn 0.0432 0.5000 0.7233
Mn 0.0981 0.0000 0.4713
Mn 0.1438 0.5000 0.2089
Mn 0.1792 0.0000 0.9243
Fe 0.2203 0.5000 0.6809
N 0.0437 0.0000 0.7339
N 0.0991 0.5000 0.4638
N 0.1418 0.0000 0.2040
N 0.1779 0.5000 0.9293



Starting from a structure optimized by DFT (GGA-PBE), the X-ray powder pattern of EuY2S4 was calculated for a wavelength of 1.5418 Å.

Largest 8 diffraction maxima, by angle, 10 to 90 degrees two-theta:
25.82°, intensity 100; 33.46°, intensity 73; 33.67°, intensity 44; 39.87°, intensity 60; 48.05°, intensity 26; 48.32°, intensity 16; 50.65°, intensity 28; 68.26°, intensity 19

Cell and atoms:
a b c (Å): 8.4734 8.4734 8.4112
angles (deg): 90.00 90.00 90.00
Space group I-42d (No. 122)
Unique sites:
Eu 0.0000 0.0000 0.0000
Y 0.1246 0.7500 0.6250
S 0.0734 0.6744 0.9392